Record 1
Computed X-ray powder pattern
Compound: TbPrFe4
Radiation: Cu Kα, 1.54184 Å
Structure: a DFT-relaxed cell (GGA-PBE, the Materials Project)
Peak positions follow from Bragg's law for the DFT cell and can differ from measured ones.

Principal peaks in the range 2θ from 10° to 90°, sorted by position:
d (Å)  I (rel.)
4.277  14
2.619  65
2.234  100
2.138  15
1.699  4
1.512  24
1.426  31
1.310  22
1.252  3
1.171  11
1.130  11
1.117  5

a b c (Å): 5.238 5.238 5.238
angles (deg): 60.00 60.00 60.00
Fractional positions:
Tb1 0.000 0.000 0.000
Pr1 0.750 0.750 0.750
Fe1 0.375 0.375 0.375
Fe2 0.375 0.375 0.875
Fe3 0.375 0.875 0.375
Fe4 0.875 0.375 0.375

Record 2
Computed X-ray powder pattern
Compound: PrTiFe11
Radiation: Cu Kα, 1.54184 Å
Structure: a DFT-relaxed cell (GGA-PBE, the Materials Project)
Peak positions follow from Bragg's law for the DFT cell and can differ from measured ones.

Principal peaks in the range 2θ from 10° to 90°, sorted by position:
d (Å)  I (rel.)
2.974  58
2.454  30
2.439  28
2.345  22
2.159  46
2.142  49
2.129  76
2.124  64
2.059  100
1.857  41
1.308  27
1.173  15

a b c (Å): 6.519 6.519 6.519
angles (deg): 137.83 97.03 97.85
Fractional positions:
Pr1 0.000 0.000 0.000
Ti1 0.627 0.627 0.000
Fe1 0.222 0.493 0.729
Fe2 0.228 0.728 0.500
Fe3 0.351 0.351 0.000
Fe4 0.353 0.994 0.358
Fe5 0.494 0.495 0.498
Fe6 0.494 0.996 0.999
Fe7 0.636 0.994 0.642
Fe8 0.764 0.264 0.500
Fe9 0.765 0.493 0.271
Fe10 0.997 0.495 0.001
Fe11 0.997 0.996 0.502

Record 3
Computed X-ray powder pattern
Compound: Pr6TlFe13
Radiation: Cu Kα, 1.54184 Å
Structure: a DFT-relaxed cell (GGA-PBE, the Materials Project)
Peak positions follow from Bragg's law for the DFT cell and can differ from measured ones.

Principal peaks in the range 2θ from 10° to 90°, sorted by position:
d (Å)  I (rel.)
3.283  74
3.252  37
2.873  68
2.853  38
2.825  53
2.633  43
2.552  100
2.391  70
2.145  33
2.130  50
1.950  38
1.601  34

a b c (Å): 13.171 13.171 13.171
angles (deg): 144.32 144.32 51.34
Fractional positions:
Pr1 0.019 0.519 0.171
Pr2 0.104 0.104 0.000
Pr3 0.152 0.981 0.500
Pr4 0.348 0.848 0.829
Pr5 0.396 0.396 0.000
Pr6 0.481 0.652 0.500
Pr7 0.519 0.348 0.500
Pr8 0.604 0.604 0.000
Pr9 0.652 0.152 0.171
Pr10 0.848 0.019 0.500
Pr11 0.896 0.896 0.000
Pr12 0.981 0.481 0.829
Tl1 0.250 0.250 0.000
Tl2 0.750 0.750 0.000
Fe1 0.000 0.500 0.500
Fe2 0.021 0.295 0.500
Fe3 0.067 0.210 0.277
Fe4 0.120 0.620 0.856
Fe5 0.205 0.479 0.500
Fe6 0.210 0.933 0.143
Fe7 0.236 0.736 0.856
Fe8 0.264 0.120 0.500
Fe9 0.290 0.433 0.723
Fe10 0.295 0.795 0.274
Fe11 0.380 0.236 0.500
Fe12 0.433 0.710 0.143
Fe13 0.479 0.979 0.274
Fe14 0.500 0.000 0.500
Fe15 0.521 0.021 0.726
Fe16 0.567 0.290 0.857
Fe17 0.620 0.764 0.500
Fe18 0.705 0.205 0.726
Fe19 0.710 0.567 0.277
Fe20 0.736 0.880 0.500
Fe21 0.764 0.264 0.144
Fe22 0.790 0.067 0.857
Fe23 0.795 0.521 0.500
Fe24 0.880 0.380 0.144
Fe25 0.933 0.790 0.723
Fe26 0.979 0.705 0.500

Record 4
Computed X-ray powder pattern
Compound: FePt3
Radiation: Cu Kα, 1.54184 Å
Structure: a DFT-relaxed cell (GGA-PBE, the Materials Project)
Peak positions follow from Bragg's law for the DFT cell and can differ from measured ones.

Principal peaks in the range 2θ from 10° to 90°, sorted by position:
d (Å)  I (rel.)
3.870  14
2.736  11
2.234  100
1.935  49
1.731  6
1.580  5
1.368  32
1.290  3
1.224  2
1.167  38
1.117  11

a b c (Å): 3.870 3.870 3.870
angles (deg): 90.00 90.00 90.00
Fractional positions:
Fe1 0.000 0.000 0.000
Pt1 0.000 0.500 0.500
Pt2 0.500 0.000 0.500
Pt3 0.500 0.500 0.000